# TaReSe6
Computed X-ray powder pattern, Cu Kα (λ = 1.5418 Å). Input: a structure optimized by DFT (PBE).
Intensities are scaled so that the largest is 100.

Crystal structure
```
TaReSe6
1.0
6.062 0.000 0.000
2.875 5.646 0.000
2.873 1.146 5.538
Ta Re Se
1 1 6
direct
0.000 0.000 0.000
0.500 0.500 0.500
0.050 0.746 0.745
0.351 0.637 0.154
0.357 0.149 0.644
0.643 0.851 0.356
0.649 0.363 0.846
0.950 0.254 0.255
```

Top 8 peaks for 2θ = 10–90°, in order of falling intensity:
2θ (°)  I (rel.)
19.2  100.0
48.8  33.4
39.0  30.0
27.7  25.4
43.8  24.0
31.0  23.6
44.9  23.3
28.5  23.2